Structure and simulated X-ray powder pattern of Np2Br2Cl3 (a crystal structure in Alexandria, relaxed with PBE; a wavelength of 1.5418 Å).

abc: 12.3555 4.0586 8.0521
angles: 90.00 112.10 90.00
Space group C2/m (No. 12)
Symmetry-distinct sites (fractional):
1 Np 0.1690 0.0000 0.2136 [4 per cell]
2 Br 0.1583 0.0000 0.8139 [4 per cell]
3 Cl 0.0000 0.5000 0.0000 [2 per cell]
4 Cl 0.1330 0.5000 0.4371 [4 per cell]

Most intense lines, 5° ≤ 2θ ≤ 70°, sorted by position:
index, 2theta, I/Imax
2 0 0, 15.52, 100.0
1 1 0, 23.25, 30.3
0 0 2, 23.85, 53.6
1 1 -1, 24.79, 57.8
3 1 -1, 31.10, 29.6
4 0 0, 31.28, 31.4
3 1 0, 32.20, 96.0
3 1 -2, 34.55, 62.8
1 1 2, 35.67, 40.9
1 1 -3, 40.71, 43.3

=====

Structure and simulated X-ray powder pattern of Th2MgPb9 (a crystal structure in Alexandria, relaxed with PBE; a wavelength of 1.5418 Å).

abc: 4.8454 4.8454 15.1519
angles: 90.00 90.00 90.00
Space group P4/mmm (No. 123)
Symmetry-distinct sites (fractional):
1 Th 0.0000 0.0000 0.1556 [2 per cell]
2 Mg 0.0000 0.0000 0.5000 [1 per cell]
3 Pb 0.0000 0.5000 0.0000 [2 per cell]
4 Pb 0.0000 0.5000 0.3376 [4 per cell]
5 Pb 0.5000 0.5000 0.1703 [2 per cell]
6 Pb 0.5000 0.5000 0.5000 [1 per cell]

Most intense lines, 5° ≤ 2θ ≤ 70°, sorted by position:
index, 2theta, I/Imax
0 0 1, 5.83, 7.3
1 0 1, 19.23, 3.3
1 1 3, 31.55, 100.0
0 0 6, 35.55, 17.7
2 0 0, 37.11, 33.1
2 0 6, 52.33, 24.1
2 2 0, 53.49, 11.8
1 1 9, 61.36, 14.2
3 1 3, 63.44, 28.3
2 2 6, 65.88, 12.3

=====

Structure and simulated X-ray powder pattern of Sr6Tl2In (a crystal structure in Alexandria, relaxed with PBE; a wavelength of 1.5418 Å).

abc: 11.0551 11.2498 11.9459
angles: 90.00 90.00 90.00
Space group Immm (No. 71)
Symmetry-distinct sites (fractional):
1 Sr 0.0000 0.1893 0.2490 [8 per cell]
2 Sr 0.2054 0.5000 0.3379 [8 per cell]
3 Sr 0.2279 0.3256 0.0000 [8 per cell]
4 Tl 0.0000 0.3335 0.5000 [4 per cell]
5 Tl 0.0000 0.5000 0.1309 [4 per cell]
6 In 0.0000 0.0000 0.0000 [2 per cell]
7 In 0.0000 0.0000 0.5000 [2 per cell]

Most intense lines, 5° ≤ 2θ ≤ 70°, sorted by position:
index, 2theta, I/Imax
1 1 0, 11.22, 41.4
2 0 0, 16.03, 43.8
2 2 2, 27.10, 33.4
2 1 3, 28.75, 74.5
1 3 2, 29.26, 89.2
2 3 1, 29.75, 100.0
0 0 4, 29.93, 44.2
4 0 0, 32.39, 49.9
3 0 3, 33.12, 35.0
5 3 2, 50.28, 31.7

=====

Structure and simulated X-ray powder pattern of Cs2NbBr5Cl (a crystal structure in Alexandria, relaxed with PBE; a wavelength of 1.5418 Å).

abc: 7.8621 7.8621 10.9443
angles: 90.00 90.00 90.00
Space group I4mm (No. 107)
Symmetry-distinct sites (fractional):
1 Cs 0.0000 0.5000 0.0000 [4 per cell]
2 Nb 0.0000 0.0000 0.2510 [2 per cell]
3 Br 0.0000 0.0000 0.0136 [2 per cell]
4 Br 0.2349 0.2349 0.2500 [8 per cell]
5 Cl 0.0000 0.0000 0.4723 [2 per cell]

Most intense lines, 5° ≤ 2θ ≤ 70°, sorted by position:
index, 2theta, I/Imax
1 0 1, 13.87, 32.1
1 1 2, 22.80, 26.7
2 0 2, 27.95, 100.0
2 2 0, 32.20, 59.1
0 0 4, 32.73, 28.2
4 0 0, 46.19, 20.4
2 2 4, 46.58, 39.7
4 2 2, 54.85, 26.7
2 0 6, 55.54, 12.8
4 0 4, 57.75, 20.1

=====

Structure and simulated X-ray powder pattern of Cd4NiHg (a crystal structure in Alexandria, relaxed with PBE; a wavelength of 1.5418 Å).

abc: 13.5474 7.1731 5.5361
angles: 90.00 109.25 90.00
Space group C2/m (No. 12)
Symmetry-distinct sites (fractional):
1 Cd 0.0000 0.2017 0.0000 [4 per cell]
2 Cd 0.1209 0.2296 0.6004 [8 per cell]
3 Cd 0.1791 0.5000 0.1650 [4 per cell]
4 Ni 0.0036 0.5000 0.7229 [4 per cell]
5 Hg 0.2029 0.0000 0.2121 [4 per cell]

Most intense lines, 5° ≤ 2θ ≤ 70°, sorted by position:
index, 2theta, I/Imax
2 2 0, 28.53, 52.2
2 0 -2, 32.46, 83.8
2 2 1, 35.75, 88.0
4 2 -1, 37.37, 100.0
4 0 1, 37.50, 57.0
6 0 -1, 40.07, 41.7
0 2 2, 42.82, 46.8
4 2 -2, 44.68, 23.9
0 4 0, 50.92, 25.7
6 2 -3, 62.26, 20.1

=====

Structure and simulated X-ray powder pattern of Er9Sc4Al11 (a crystal structure in Alexandria, relaxed with PBE; a wavelength of 1.5418 Å).

abc: 16.3595 20.1979 3.2570
angles: 90.00 90.00 90.00
Space group Cmmm (No. 65)
Symmetry-distinct sites (fractional):
1 Er 0.0000 0.0000 0.0000 [2 per cell]
2 Er 0.1117 0.2425 0.0000 [8 per cell]
3 Er 0.1257 0.4146 0.0000 [8 per cell]
4 Sc 0.1553 0.0876 0.0000 [8 per cell]
5 Al 0.0000 0.1333 0.5000 [4 per cell]
6 Al 0.0000 0.3385 0.5000 [4 per cell]
7 Al 0.0000 0.5000 0.5000 [2 per cell]
8 Al 0.2455 0.3190 0.5000 [8 per cell]
9 Al 0.2450 0.5000 0.5000 [4 per cell]

Most intense lines, 5° ≤ 2θ ≤ 70°, sorted by position:
index, 2theta, I/Imax
3 1 0, 16.84, 24.3
4 0 0, 21.73, 40.2
0 6 0, 26.48, 31.3
0 0 1, 27.39, 50.6
4 6 0, 34.51, 100.0
4 0 1, 35.23, 63.6
0 6 1, 38.46, 50.0
8 0 0, 44.28, 27.5
4 6 1, 44.60, 47.3
4 6 2, 67.92, 25.0